Diffraction record for BaNaZrF7. The XRD peak list is calculated, not measured: it uses DFT lattice parameters and positions (GGA-PBE) and Cu Kα (λ = 1.5418 Å).
No peak broadening, texture or thermal motion is included.

Largest 8 diffraction maxima, in order of rising 2θ, 5 to 70 degrees two-theta:
2θ = 18.3°, intensity 26; 2θ = 20.0°, intensity 26; 2θ = 24.2°, intensity 50; 2θ = 25.3°, intensity 27; 2θ = 26.1°, intensity 100; 2θ = 30.0°, intensity 39; 2θ = 41.1°, intensity 41; 2θ = 46.5°, intensity 34

Cell lengths 9.2658, 5.6208, 11.4123 Å; angles 90.00, 90.00, 90.00 degrees
Atoms (fractional coordinates):
Ba: 0.0305 0.2500 0.1722
Ba: 0.4695 0.7500 0.6722
Ba: 0.5305 0.2500 0.3278
Ba: 0.9695 0.7500 0.8278
Na: 0.1345 0.2500 0.5547
Na: 0.3655 0.7500 0.0547
Na: 0.6345 0.2500 0.9453
Na: 0.8655 0.7500 0.4453
Zr: 0.2488 0.7500 0.3603
Zr: 0.2512 0.2500 0.8603
Zr: 0.7488 0.7500 0.1397
Zr: 0.7512 0.2500 0.6397
F: 0.0228 0.2500 0.8321
F: 0.0754 0.5185 0.3865
F: 0.0754 0.9815 0.3865
F: 0.1724 0.0099 0.9846
F: 0.1724 0.4901 0.9846
F: 0.2221 0.0036 0.7253
F: 0.2221 0.4964 0.7253
F: 0.2779 0.5036 0.2253
F: 0.2779 0.9964 0.2253
F: 0.3276 0.5099 0.4846
F: 0.3276 0.9901 0.4846
F: 0.4246 0.0185 0.8865
F: 0.4246 0.4815 0.8865
F: 0.4772 0.7500 0.3321
F: 0.5228 0.2500 0.6679
F: 0.5754 0.5185 0.1135
F: 0.5754 0.9815 0.1135
F: 0.6724 0.0099 0.5154
F: 0.6724 0.4901 0.5154
F: 0.7221 0.0036 0.7747
F: 0.7221 0.4964 0.7747
F: 0.7779 0.5036 0.2747
F: 0.7779 0.9964 0.2747
F: 0.8276 0.5099 0.0154
F: 0.8276 0.9901 0.0154
F: 0.9246 0.0185 0.6135
F: 0.9246 0.4815 0.6135
F: 0.9772 0.7500 0.1679

Diffraction record for Ba3Nb2O4F12. The XRD peak list is calculated, not measured: it uses DFT lattice parameters and positions (GGA-PBE) and Cu Kα (λ = 1.5418 Å).
No peak broadening, texture or thermal motion is included.

Largest 8 diffraction maxima, in order of rising 2θ, 5 to 70 degrees two-theta:
2θ = 7.9°, intensity 35; 2θ = 16.3°, intensity 50; 2θ = 22.3°, intensity 32; 2θ = 22.6°, intensity 32; 2θ = 23.7°, intensity 100; 2θ = 25.4°, intensity 82; 2θ = 32.1°, intensity 34; 2θ = 41.0°, intensity 57

Cell lengths 11.9293, 11.9293, 7.9691 Å; angles 90.00, 90.00, 38.51 degrees
Atoms (fractional coordinates):
Ba: 0.0997 0.9003 0.5000
Ba: 0.1225 0.4932 0.7160
Ba: 0.4932 0.1225 0.2160
Ba: 0.5068 0.8775 0.7160
Ba: 0.8775 0.5068 0.2160
Ba: 0.9003 0.0997 0.0000
Nb: 0.0803 0.6376 0.2110
Nb: 0.3624 0.9197 0.2110
Nb: 0.6376 0.0803 0.7110
Nb: 0.9197 0.3624 0.7110
O: 0.1497 0.2271 0.7174
O: 0.2271 0.1497 0.2174
O: 0.2652 0.7348 0.8800
O: 0.4696 0.5304 0.0132
O: 0.5304 0.4696 0.5132
O: 0.7348 0.2652 0.3800
O: 0.7729 0.8503 0.7174
O: 0.8503 0.7729 0.2174
F: 0.0260 0.8511 0.2149
F: 0.0855 0.6875 0.9689
F: 0.1023 0.6768 0.4575
F: 0.1411 0.4493 0.0618
F: 0.1466 0.4483 0.3646
F: 0.1489 0.9740 0.2149
F: 0.3125 0.9145 0.9689
F: 0.3232 0.8977 0.4575
F: 0.3617 0.4350 0.2077
F: 0.4350 0.3617 0.7077
F: 0.4483 0.1466 0.8646
F: 0.4493 0.1411 0.5618
F: 0.5507 0.8589 0.0618
F: 0.5517 0.8534 0.3646
F: 0.5650 0.6383 0.2077
F: 0.6383 0.5650 0.7077
F: 0.6768 0.1023 0.9575
F: 0.6875 0.0855 0.4689
F: 0.8511 0.0260 0.7149
F: 0.8534 0.5517 0.8646
F: 0.8589 0.5507 0.5618
F: 0.8977 0.3232 0.9575
F: 0.9145 0.3125 0.4689
F: 0.9740 0.1489 0.7149